Computed XRD peak list
Compound: K4CrO4
Radiation: λ = 1.5418 Å (Cu Kα)
Structure: a cell relaxed with PBE+U
No peak broadening, texture or thermal motion is included.

Structural model:
Unit cell a=6.414 b=6.454 c=9.608 alpha=72.14 beta=79.87 gamma=66.78
Space group P-1 (No. 2)
Unique sites:
K1 0.223 0.463 0.116 (multiplicity 2)
K2 0.247 0.268 0.527 (multiplicity 2)
K3 0.249 0.912 0.338 (multiplicity 2)
K4 0.274 0.013 0.937 (multiplicity 2)
Cr1 0.272 0.656 0.748 (multiplicity 2)
O1 0.045 0.794 0.872 (multiplicity 2)
O2 0.129 0.663 0.599 (multiplicity 2)
O3 0.444 0.362 0.845 (multiplicity 2)
O4 0.449 0.835 0.692 (multiplicity 2)

Largest 8 diffraction maxima, low angle first, 2θ = 10–80°:
d_spacing, I (rel.), h k l
3.037, 58.8, 0 1 3
3.006, 100.0, 1 1 -2
2.962, 83.8, 0 2 1
2.941, 85.2, 2 0 0
2.686, 99.4, 2 2 1
2.631, 99.0, 1 -1 2
2.455, 76.7, -1 1 3
1.879, 48.0, 1 3 -1